# 1
Starting from the PBE geometry in OQMD, the powder XRD pattern of MgCdNO was simulated for Cu Kα.
Peak positions follow from Bragg's law for the DFT cell and can differ from measured ones.

Main lines, by angle (2θ = 5–70°):
- 18.9 deg, d 4.697, I = 68, hkl 0 0 1
- 28.5 deg, d 3.134, I = 57, hkl 1 1 0
- 34.4 deg, d 2.607, I = 100, hkl 1 1 1
- 38.3 deg, d 2.349, I = 44, hkl 0 0 2
- 40.7 deg, d 2.216, I = 73, hkl 2 0 0
- 57.1 deg, d 1.612, I = 49, hkl 2 0 2

Cell and atoms:
Lattice parameters (Å, degrees): 4.433 4.433 4.697 90.00 90.00 90.00
Sites, in units of the cell vectors:
1 Mg 0.250 0.250 0.001
2 Mg 0.750 0.750 0.999
3 Cd 0.250 0.750 0.500
4 Cd 0.750 0.250 0.500
5 N 0.250 0.250 0.501
6 N 0.750 0.750 0.499
7 O 0.250 0.750 0.000
8 O 0.750 0.250 0.000

***

# 2
Starting from the PBE geometry in OQMD, the powder XRD pattern of Li8Pd4O11 was simulated for Cu Kα.
Peak positions follow from Bragg's law for the DFT cell and can differ from measured ones.

Main lines, by angle (2θ = 5–70°):
- 18.6 deg, d 4.759, I = 100, hkl 1 0 1
- 21.0 deg, d 4.234, I = 42, hkl 0 1 -1
- 23.6 deg, d 3.763, I = 25, hkl 1 0 -1
- 35.8 deg, d 2.507, I = 35, hkl 0 2 0
- 43.5 deg, d 2.082, I = 25, hkl 2 1 -1
- 43.7 deg, d 2.073, I = 49, hkl 1 1 4

Cell and atoms:
Lattice parameters (Å, degrees): 5.055 5.094 8.827 84.91 73.76 80.14
Sites, in units of the cell vectors:
1 Li 0.000 0.000 0.000
2 Li 0.053 0.234 0.417
3 Li 0.165 0.496 0.832
4 Li 0.333 0.993 0.663
5 Li 0.497 0.499 0.510
6 Li 0.583 0.752 0.914
7 Li 0.681 0.965 0.330
8 Li 0.846 0.511 0.149
9 Pd 0.256 0.730 0.242
10 Pd 0.410 0.261 0.088
11 Pd 0.749 0.243 0.748
12 Pd 0.918 0.740 0.578
13 O 0.045 0.136 0.207
14 O 0.113 0.373 0.622
15 O 0.214 0.621 0.040
16 O 0.289 0.847 0.451
17 O 0.387 0.124 0.870
18 O 0.558 0.613 0.704
19 O 0.609 0.884 0.131
20 O 0.704 0.110 0.545
21 O 0.780 0.364 0.955
22 O 0.889 0.610 0.373
23 O 0.959 0.875 0.779

***

# 3
Starting from the PBE geometry in OQMD, the powder XRD pattern of LiAg3SnS4 was simulated for Cu Kα.
Peak positions follow from Bragg's law for the DFT cell and can differ from measured ones.

Main lines, by angle (2θ = 5–70°):
- 8.9 deg, d 9.907, I = 100, hkl 0 0 1
- 14.6 deg, d 6.048, I = 100, hkl 0 1 1
- 25.0 deg, d 3.562, I = 18, hkl 0 2 1
- 27.1 deg, d 3.296, I = 19, hkl 2 0 -1
- 29.5 deg, d 3.024, I = 30, hkl 0 2 2
- 40.2 deg, d 2.244, I = 27, hkl 2 2 1

Cell and atoms:
Lattice parameters (Å, degrees): 6.588 7.636 10.362 90.00 107.03 90.00
Sites, in units of the cell vectors:
1 Li 0.048 0.250 0.359
2 Li 0.952 0.750 0.641
3 Ag 0.244 0.553 0.044
4 Ag 0.244 0.947 0.044
5 Ag 0.327 0.750 0.305
6 Ag 0.673 0.250 0.695
7 Ag 0.756 0.053 0.956
8 Ag 0.756 0.447 0.956
9 Sn 0.188 0.250 0.775
10 Sn 0.812 0.750 0.225
11 S 0.041 0.001 0.215
12 S 0.041 0.499 0.215
13 S 0.297 0.250 0.577
14 S 0.458 0.250 0.995
15 S 0.542 0.750 0.005
16 S 0.703 0.750 0.423
17 S 0.959 0.501 0.785
18 S 0.959 0.999 0.785